Entry 1:
Structure and computed X-ray powder pattern of HfTe3O8 (a DFT-relaxed cell (GGA-PBE, OQMD); λ = 1.5418 Å (Cu Kα)).
Lines closer than 0.1° are merged.

Peak list (8 most intense, 2θ = 5–70°, in order of falling intensity)
d/Å, I (rel.)
3.213, 100
1.967, 37
2.782, 35
1.678, 35
4.543, 12
1.606, 8
2.623, 8
2.974, 8

Crystal structure
```
data_HfTe3O8
_chemical_formula_sum 'Hf8 Te24 O64'
_cell_length_a 11.129
_cell_length_b 11.129
_cell_length_c 11.129
_cell_angle_alpha 90.00
_cell_angle_beta 90.00
_cell_angle_gamma 90.00
_space_group_name_H-M_alt 'I a -3'
_space_group_IT_number 206
_space_group_name_Hall '-I 2b 2c 3'
loop_
_atom_site_label
_atom_site_fract_x
_atom_site_fract_y
_atom_site_fract_z
Hf1 0.000 0.000 0.000
Te1 0.000 0.250 0.216
O1 0.067 0.133 0.611
O2 0.170 0.170 0.170
```

---

Entry 2:
Structure and computed X-ray powder pattern of Hf2Te2O5 (a DFT-relaxed cell (GGA-PBE, OQMD); λ = 1.5418 Å (Cu Kα)).
Lines closer than 0.1° are merged.

Peak list (8 most intense, 2θ = 5–70°, in order of falling intensity)
d/Å, I (rel.)
2.860, 100
2.771, 41
1.616, 37
1.670, 23
1.959, 23
1.430, 13
2.092, 11
1.385, 7

Crystal structure
```
data_Hf2Te2O5
_chemical_formula_sum 'Hf2 Te2 O5'
_cell_length_a 3.919
_cell_length_b 3.919
_cell_length_c 8.369
_cell_angle_alpha 90.00
_cell_angle_beta 90.00
_cell_angle_gamma 90.00
_space_group_name_H-M_alt 'P 4/m m m'
_space_group_IT_number 123
_space_group_name_Hall '-P 4 2'
loop_
_atom_site_label
_atom_site_fract_x
_atom_site_fract_y
_atom_site_fract_z
Hf1 0.000 0.000 0.247
Te1 0.500 0.500 0.000
Te2 0.500 0.500 0.500
O1 0.000 0.000 0.500
O2 0.000 0.500 0.318
```

---

Question: Which formula does entry 1 have?
Answer: HfTe3O8